For NdPuMn4, DFT lattice parameters and positions (GGA-PBE) gives the computed powder diffraction line list in this record (Cu Ka).

Peak list (6 most intense, 2θ from 10° to 80°, by intensity)
Position (°2θ), I/Imax
41.5, 1000
35.2, 764
21.3, 333
67.4, 310
63.1, 288
74.3, 210

Atomic structure:
Lattice parameters (Å, degrees): 5.106 5.106 5.106 60.00 60.00 60.00
Sites, in units of the cell vectors:
Nd (0.000, 0.000, 0.000)
Pu (0.250, 0.250, 0.250)
Mn (0.128, 0.624, 0.624)
Mn (0.624, 0.128, 0.624)
Mn (0.624, 0.624, 0.128)
Mn (0.624, 0.624, 0.624)

---

For NdMn4Se8, DFT lattice parameters and positions (GGA-PBE) gives the computed powder diffraction line list in this record (Cu Ka).

Peak list (6 most intense, 2θ from 10° to 80°, by intensity)
Position (°2θ), I/Imax
32.8, 1000
49.2, 340
44.7, 299
12.7, 272
14.4, 190
60.4, 163

Atomic structure:
Lattice parameters (Å, degrees): 8.173 8.173 8.173 53.90 53.90 53.90
Sites, in units of the cell vectors:
Nd (0.000, 0.000, 0.000)
Mn (0.000, 0.000, 0.500)
Mn (0.000, 0.500, 0.000)
Mn (0.500, 0.000, 0.000)
Mn (0.500, 0.500, 0.500)
Se (0.231, 0.737, 0.737)
Se (0.232, 0.232, 0.232)
Se (0.263, 0.263, 0.769)
Se (0.263, 0.769, 0.263)
Se (0.737, 0.231, 0.737)
Se (0.737, 0.737, 0.231)
Se (0.768, 0.768, 0.768)
Se (0.769, 0.263, 0.263)

---

For NdTaMnSi2, DFT lattice parameters and positions (GGA-PBE) gives the computed powder diffraction line list in this record (Cu Ka).

Peak list (6 most intense, 2θ from 10° to 80°, by intensity)
Position (°2θ), I/Imax
35.5, 1000
23.6, 452
45.4, 379
32.6, 368
31.6, 242
77.3, 205

Atomic structure:
Lattice parameters (Å, degrees): 6.329 6.329 6.329 143.18 143.18 53.06
Sites, in units of the cell vectors:
Nd (0.000, 0.000, 0.000)
Ta (0.250, 0.750, 0.500)
Mn (0.750, 0.250, 0.500)
Si (0.390, 0.390, 0.000)
Si (0.610, 0.610, 0.000)

---

For NdMnTlTe3, DFT lattice parameters and positions (GGA-PBE) gives the computed powder diffraction line list in this record (Cu Ka).

Peak list (6 most intense, 2θ from 10° to 80°, by intensity)
Position (°2θ), I/Imax
27.2, 1000
27.4, 451
27.0, 432
41.5, 323
39.8, 295
35.8, 250

Atomic structure:
Lattice parameters (Å, degrees): 9.698 4.527 10.292 90.00 105.63 90.00
Sites, in units of the cell vectors:
Nd (0.171, 0.250, 0.144)
Nd (0.829, 0.750, 0.856)
Mn (0.415, 0.750, 0.397)
Mn (0.585, 0.250, 0.603)
Tl (0.298, 0.750, 0.781)
Tl (0.702, 0.250, 0.219)
Te (0.048, 0.250, 0.827)
Te (0.291, 0.250, 0.475)
Te (0.400, 0.750, 0.133)
Te (0.600, 0.250, 0.867)
Te (0.709, 0.750, 0.525)
Te (0.952, 0.750, 0.173)

---

For Mn2Ni17, DFT lattice parameters and positions (GGA-PBE) gives the computed powder diffraction line list in this record (Cu Ka).

Peak list (6 most intense, 2θ from 10° to 80°, by intensity)
Position (°2θ), I/Imax
45.0, 1000
50.7, 536
45.2, 241
38.7, 212
45.8, 188
50.9, 152

Atomic structure:
Lattice parameters (Å, degrees): 6.145 6.145 6.145 82.03 82.03 82.03
Sites, in units of the cell vectors:
Mn (0.169, 0.169, 0.169)
Mn (0.831, 0.831, 0.831)
Ni (0.000, 0.500, 0.500)
Ni (0.150, 0.150, 0.658)
Ni (0.150, 0.658, 0.150)
Ni (0.196, 0.500, 0.804)
Ni (0.196, 0.804, 0.500)
Ni (0.342, 0.850, 0.850)
Ni (0.400, 0.400, 0.400)
Ni (0.500, 0.000, 0.500)
Ni (0.500, 0.196, 0.804)
Ni (0.500, 0.500, 0.000)
Ni (0.500, 0.804, 0.196)
Ni (0.600, 0.600, 0.600)
Ni (0.658, 0.150, 0.150)
Ni (0.804, 0.196, 0.500)
Ni (0.804, 0.500, 0.196)
Ni (0.850, 0.342, 0.850)
Ni (0.850, 0.850, 0.342)

---

For MnNi4, DFT lattice parameters and positions (GGA-PBE) gives the computed powder diffraction line list in this record (Cu Ka).

Peak list (6 most intense, 2θ from 10° to 80°, by intensity)
Position (°2θ), I/Imax
44.0, 1000
51.4, 306
75.3, 178
51.0, 158
75.7, 88
22.4, 6

Atomic structure:
Lattice parameters (Å, degrees): 4.359 4.359 4.359 99.73 99.73 131.45
Sites, in units of the cell vectors:
Mn (0.000, 0.000, 0.000)
Ni (0.196, 0.402, 0.598)
Ni (0.402, 0.804, 0.205)
Ni (0.598, 0.196, 0.795)
Ni (0.804, 0.598, 0.402)